This entry pairs a crystal structure of Ca3Sm3ZnSe8 with its theoretical powder XRD pattern. Radiation: Cu Kα X-rays. Structure: a GGA-PBE-relaxed structure.
Intensities are scaled so that the largest is 100.

Crystal structure
Cell: 8.2899 8.2899 20.5843 Å, 90.00 90.00 120.00°
Space group R-3m (No. 166, hexagonal axes)
Inequivalent atoms, fractional coordinates:
1 Ca 0.0000 0.5000 0.0000
2 Sm 0.0000 0.5000 0.5000
3 Zn 0.0000 0.0000 0.5000
4 Se 0.0000 0.0000 0.2502
5 Se 0.0165 0.5083 0.2446

Most intense lines, 15 to 90 degrees two-theta, most intense first:
hkl  two_theta  I/Imax
0 2 4  30.4  100
2 0 8  43.3  36
2 2 0  43.7  36
4 0 4  54.1  19
2 2 12  71.4  15
2 4 4  72.0  15
0 2 1  25.2  14
0 4 8  63.2  11
4 2 8  79.9  11
2 2 3  45.7  8

---

This entry pairs a crystal structure of AsRuRh with its theoretical powder XRD pattern. Radiation: Cu Kα X-rays. Structure: a GGA-PBE-relaxed structure.
Intensities are scaled so that the largest is 100.

Crystal structure
Cell: 4.357 10.230 4.579 Å, 90.00 118.19 90.00°
Space group Cc (No. 9)
Inequivalent atoms, fractional coordinates:
1 As 0.000 0.123 0.000
2 Ru 0.143 0.426 0.807
3 Rh 0.324 0.174 0.674

Most intense lines, 15 to 90 degrees two-theta, most intense first:
hkl  two_theta  I/Imax
2 2 -1  45.2  100
1 1 -2  40.4  87
1 1 1  40.3  86
1 3 0  35.2  74
0 4 1  41.8  69
1 5 -1  50.6  41
0 4 0  35.1  34
0 2 3  72.7  31
1 1 -1  24.8  29
1 3 1  47.8  29

---

This entry pairs a crystal structure of Y12InRh6 with its theoretical powder XRD pattern. Radiation: Cu Kα X-rays. Structure: a GGA-PBE-relaxed structure.
Intensities are scaled so that the largest is 100.

Crystal structure
Cell: 9.921 9.921 9.921 Å, 90.00 90.00 90.00°
Space group Im-3 (No. 204)
Inequivalent atoms, fractional coordinates:
1 Y 0.000 0.191 0.299
2 In 0.000 0.000 0.000
3 Rh 0.000 0.372 0.500

Most intense lines, 15 to 90 degrees two-theta, most intense first:
hkl  two_theta  I/Imax
3 2 1  33.8  100
5 1 0  46.7  30
2 2 2  31.2  24
5 3 2  57.2  21
4 0 0  36.2  15
5 4 3  66.7  15
7 5 0  83.9  15
2 0 0  17.9  15
6 0 0  55.6  14
3 3 0  38.5  13

---

This entry pairs a crystal structure of CsNa with its theoretical powder XRD pattern. Radiation: Cu Kα X-rays. Structure: a GGA-PBE-relaxed structure.
Intensities are scaled so that the largest is 100.

Crystal structure
Cell: 5.609 17.615 8.978 Å, 90.00 90.00 90.00°
Space group Imm2 (No. 44)
Inequivalent atoms, fractional coordinates:
1 Cs 0.000 0.000 0.000
2 Cs 0.000 0.295 0.251
3 Na 0.000 0.000 0.502
4 Na 0.000 0.397 0.814

Most intense lines, 15 to 90 degrees two-theta, most intense first:
hkl  two_theta  I/Imax
1 2 1  21.2  100
1 3 0  21.9  93
0 2 2  22.2  89
1 7 0  39.2  64
1 0 1  18.7  62
1 1 2  25.9  60
1 5 2  36.2  54
0 3 1  18.1  48
0 5 1  27.2  44
2 0 0  31.9  29

---

This entry pairs a crystal structure of PmTm4In with its theoretical powder XRD pattern. Radiation: Cu Kα X-rays. Structure: a GGA-PBE-relaxed structure.
Intensities are scaled so that the largest is 100.

Crystal structure
Cell: 3.547 3.547 14.089 Å, 90.00 90.00 90.00°
Space group P4/mmm (No. 123)
Inequivalent atoms, fractional coordinates:
1 Pm 0.000 0.000 0.000
2 Tm 0.000 0.000 0.353
3 Tm 0.500 0.500 0.180
4 In 0.500 0.500 0.500

Most intense lines, 15 to 90 degrees two-theta, most intense first:
hkl  two_theta  I/Imax
1 0 3  31.6  100
1 1 0  35.8  38
2 1 3  61.7  32
1 1 6  53.5  18
2 0 0  51.5  14
0 0 6  38.3  12
2 0 6  66.0  10
3 0 3  84.5  7
1 0 9  65.1  7
3 1 0  86.8  7

---

This entry pairs a crystal structure of TlSeS with its theoretical powder XRD pattern. Radiation: Cu Kα X-rays. Structure: a GGA-PBE-relaxed structure.
Intensities are scaled so that the largest is 100.

Crystal structure
Cell: 9.470 7.917 5.364 Å, 90.00 121.70 90.00°
Space group C2 (No. 5)
Inequivalent atoms, fractional coordinates:
1 Tl 0.138 0.000 0.378
2 Se 0.228 0.260 0.980
3 S 0.037 0.473 0.849

Most intense lines, 15 to 90 degrees two-theta, most intense first:
hkl  two_theta  I/Imax
2 2 -1  30.5  100
1 1 1  29.3  57
0 2 1  29.9  44
1 1 0  15.7  43
2 0 -2  33.5  36
3 1 0  35.3  26
0 2 0  22.5  25
2 0 1  36.7  18
6 0 -1  60.9  18
1 3 1  43.9  18

---

Q: Number 3 is which compound?
A: Y12InRh6